Calculated powder X-ray diffraction pattern of MgIn8Hg2 for λ = 1.5418 Å (Cu Kα), from a GGA-PBE-relaxed structure.
Peak positions follow from Bragg's law for the DFT cell and can differ from measured ones.

Cell and atoms:
```
MgIn8Hg2
1.0
4.554 0.000 0.000
0.000 4.554 0.000
0.000 0.000 14.265
Mg In Hg
1 8 2
Cartesian
0.000 0.000 0.000 Mg
0.000 2.277 2.075 In
0.000 2.277 7.133 In
0.000 2.277 12.191 In
2.277 0.000 2.075 In
2.277 0.000 7.133 In
2.277 0.000 12.191 In
2.277 2.277 4.534 In
2.277 2.277 9.731 In
0.000 0.000 4.612 Hg
0.000 0.000 9.653 Hg
```

Principal peaks in the range 10° ≤ 2θ ≤ 90°, sorted by position:
2theta  I_rel
30.5  18
31.4  10
33.6  100
37.8  14
39.6  35
51.3  10
55.9  18
57.2  12
59.2  12
68.0  25


Calculated powder X-ray diffraction pattern of Mg5In2Hg2 for λ = 1.5418 Å (Cu Kα), from a GGA-PBE-relaxed structure.
Peak positions follow from Bragg's law for the DFT cell and can differ from measured ones.

Cell and atoms:
```
Mg5In2Hg2
1.0
7.597 -3.753 0.000
7.597 3.753 0.000
0.000 0.000 7.557
Mg In Hg
10 4 4
Cartesian
0.000 0.000 0.000 Mg
5.647 2.529 5.030 Mg
5.647 1.224 1.251 Mg
9.547 2.529 5.030 Mg
9.547 1.224 1.251 Mg
7.597 0.000 3.778 Mg
5.647 -1.224 6.305 Mg
5.647 -2.529 2.527 Mg
9.547 -1.224 6.305 Mg
9.547 -2.529 2.527 Mg
3.241 0.000 0.000 In
4.356 0.000 3.778 In
10.838 0.000 3.778 In
11.953 0.000 0.000 In
7.597 2.692 2.700 Hg
7.597 1.061 6.478 Hg
7.597 -1.061 1.079 Hg
7.597 -2.692 4.857 Hg
```

Principal peaks in the range 10° ≤ 2θ ≤ 90°, sorted by position:
2theta  I_rel
11.6  80
23.4  86
24.3  100
26.5  72
27.1  69
29.0  90
31.9  97
35.7  97
38.1  55
38.4  52


Calculated powder X-ray diffraction pattern of MgIn6Hg4 for λ = 1.5418 Å (Cu Kα), from a GGA-PBE-relaxed structure.
Peak positions follow from Bragg's law for the DFT cell and can differ from measured ones.

Cell and atoms:
```
MgIn6Hg4
1.0
6.269 0.000 0.000
-0.309 6.713 0.000
-1.779 -1.863 6.947
Mg In Hg
1 6 4
Cartesian
0.000 0.000 0.000 Mg
-0.049 0.093 4.609 In
1.453 4.865 2.352 In
1.067 4.782 6.927 In
2.383 2.804 4.767 In
4.535 1.827 2.309 In
4.337 1.518 6.920 In
-0.679 3.414 4.739 Hg
1.485 1.633 1.992 Hg
3.055 -0.368 4.752 Hg
4.563 5.132 2.180 Hg
```

Principal peaks in the range 10° ≤ 2θ ≤ 90°, sorted by position:
2theta  I_rel
12.7  28
25.6  31
29.0  26
32.5  97
33.4  100
33.9  88
35.3  89
38.4  61
38.9  70
40.3  49


Calculated powder X-ray diffraction pattern of Mg3In4Hg for λ = 1.5418 Å (Cu Kα), from a GGA-PBE-relaxed structure.
Peak positions follow from Bragg's law for the DFT cell and can differ from measured ones.

Cell and atoms:
```
Mg3In4Hg
1.0
6.098 0.000 0.000
0.000 6.098 0.000
0.000 0.000 6.098
Mg In Hg
3 4 1
Cartesian
0.000 0.000 3.049 Mg
0.000 3.049 0.000 Mg
3.049 0.000 0.000 Mg
1.961 1.961 1.961 In
1.961 4.137 4.137 In
4.137 1.961 4.137 In
4.137 4.137 1.961 In
0.000 0.000 0.000 Hg
```

Principal peaks in the range 10° ≤ 2θ ≤ 90°, sorted by position:
2theta  I_rel
20.6  87
25.3  65
32.8  100
36.1  64
41.9  43
44.6  70
56.5  32
62.8  30
64.9  39
70.8  24


Calculated powder X-ray diffraction pattern of Mg3In4Hg16 for λ = 1.5418 Å (Cu Kα), from a GGA-PBE-relaxed structure.
Peak positions follow from Bragg's law for the DFT cell and can differ from measured ones.

Cell and atoms:
```
Mg3In4Hg16
1.0
6.456 0.000 0.000
0.000 7.849 0.000
-3.122 0.000 12.137
Mg In Hg
3 4 16
Cartesian
0.000 0.000 0.000 Mg
-1.561 3.925 6.069 Mg
1.667 0.000 6.069 Mg
-1.612 3.925 9.542 In
1.802 0.000 2.532 In
1.532 0.000 9.605 In
4.946 3.925 2.596 In
-1.560 0.000 9.694 Hg
0.021 1.880 4.509 Hg
0.021 5.969 4.509 Hg
1.710 2.283 0.060 Hg
1.710 5.566 0.060 Hg
0.040 1.945 7.613 Hg
0.040 5.904 7.613 Hg
1.669 3.925 2.696 Hg
1.664 3.925 9.442 Hg
3.294 1.945 4.524 Hg
3.294 5.904 4.524 Hg
1.624 2.283 12.078 Hg
1.624 5.566 12.078 Hg
3.313 1.880 7.628 Hg
3.313 5.969 7.628 Hg
4.894 0.000 2.444 Hg
```

Principal peaks in the range 10° ≤ 2θ ≤ 90°, sorted by position:
2theta  I_rel
27.1  56
28.6  34
28.7  45
31.8  100
36.0  47
36.8  27
37.0  38
37.5  28
40.6  36
41.0  31


Calculated powder X-ray diffraction pattern of MgIn2Hg8 for λ = 1.5418 Å (Cu Kα), from a GGA-PBE-relaxed structure.
Peak positions follow from Bragg's law for the DFT cell and can differ from measured ones.

Cell and atoms:
```
MgIn2Hg8
1.0
4.871 0.000 0.000
0.000 4.871 0.000
0.000 0.000 12.264
Mg In Hg
1 2 8
Cartesian
0.000 0.000 0.000 Mg
0.000 0.000 3.886 In
0.000 0.000 8.378 In
0.000 2.436 1.657 Hg
0.000 2.436 6.132 Hg
0.000 2.436 10.607 Hg
2.436 0.000 1.657 Hg
2.436 0.000 6.132 Hg
2.436 0.000 10.607 Hg
2.436 2.436 3.930 Hg
2.436 2.436 8.334 Hg
```

Principal peaks in the range 10° ≤ 2θ ≤ 90°, sorted by position:
2theta  I_rel
25.9  10
29.7  23
34.0  100
36.6  11
36.9  48
53.0  16
53.2  17
59.0  12
64.7  32
66.8  14


Calculated powder X-ray diffraction pattern of Mg3InHg12 for λ = 1.5418 Å (Cu Kα), from a GGA-PBE-relaxed structure.
Peak positions follow from Bragg's law for the DFT cell and can differ from measured ones.

Cell and atoms:
```
Mg3InHg12
1.0
4.372 0.000 0.000
0.000 4.364 0.000
-1.936 0.000 20.477
Mg In Hg
3 1 12
Cartesian
0.000 0.000 0.000 Mg
-0.208 0.000 4.946 Mg
2.644 0.000 15.530 Mg
-0.968 0.000 10.238 In
-0.113 2.182 2.438 Hg
-0.359 2.182 7.396 Hg
0.608 0.000 13.088 Hg
0.455 2.182 15.610 Hg
0.349 0.000 18.007 Hg
2.186 2.182 0.000 Hg
1.218 2.182 10.238 Hg
2.088 0.000 2.470 Hg
1.981 2.182 4.867 Hg
1.828 0.000 7.389 Hg
2.795 2.182 13.081 Hg
2.549 2.182 18.039 Hg
```

Principal peaks in the range 10° ≤ 2θ ≤ 90°, sorted by position:
2theta  I_rel
20.4  19
32.9  84
35.0  100
35.1  39
35.3  16
41.4  39
41.5  20
55.3  22
64.1  15
70.1  17


Calculated powder X-ray diffraction pattern of Mg3In2Hg5 for λ = 1.5418 Å (Cu Kα), from a GGA-PBE-relaxed structure.
Peak positions follow from Bragg's law for the DFT cell and can differ from measured ones.

Cell and atoms:
```
Mg3In2Hg5
1.0
5.731 -6.594 0.000
5.731 6.594 0.000
-1.367 0.000 6.377
Mg In Hg
6 4 10
Cartesian
4.706 6.120 4.783 Mg
3.208 1.768 2.920 Mg
2.524 -1.768 6.109 Mg
7.571 1.768 0.269 Mg
6.888 -1.768 3.457 Mg
5.390 -6.120 1.594 Mg
3.121 2.849 5.927 In
6.291 2.849 3.639 In
3.805 -2.849 2.738 In
6.975 -2.849 0.451 In
3.948 4.462 2.462 Hg
2.360 0.747 0.380 Hg
1.676 -0.747 3.569 Hg
6.832 4.462 0.727 Hg
5.390 0.042 1.594 Hg
4.706 -0.042 4.783 Hg
3.264 -4.462 5.650 Hg
8.419 0.747 2.809 Hg
7.736 -0.747 5.997 Hg
6.148 -4.462 3.915 Hg
```

Principal peaks in the range 10° ≤ 2θ ≤ 90°, sorted by position:
2theta  I_rel
21.7  41
24.8  62
28.3  70
30.5  39
32.3  100
33.1  52
34.8  79
34.9  68
35.2  91
38.4  82